For LuIrSe2, a PBE-relaxed structure gives the simulated X-ray powder pattern in this record (Cu Kα X-rays).
Peak positions follow from Bragg's law for the DFT cell and can differ from measured ones.

Largest 10 diffraction maxima, most intense first, 15° ≤ 2θ ≤ 90°:
28.2°, rel. 100
40.5°, rel. 66
48.2°, rel. 44
22.0°, rel. 39
46.6°, rel. 36
31.0°, rel. 23
53.5°, rel. 22
56.8°, rel. 17
64.7°, rel. 17
84.6°, rel. 16

```
LuIrSe2
1.0
1.890 1.091 8.089
-1.890 1.091 8.089
0.000 -2.182 8.089
Lu Ir Se
1 1 2
Cartesian
0.000 0.000 0.000
0.000 0.000 12.133
0.000 0.000 2.796
0.000 0.000 21.471
```



For Zn11In3, a PBE-relaxed structure gives the simulated X-ray powder pattern in this record (Cu Kα X-rays).
Peak positions follow from Bragg's law for the DFT cell and can differ from measured ones.

Largest 10 diffraction maxima, most intense first, 15° ≤ 2θ ≤ 90°:
35.7°, rel. 100
42.4°, rel. 49
34.2°, rel. 36
37.7°, rel. 36
42.7°, rel. 34
37.5°, rel. 33
34.9°, rel. 32
35.1°, rel. 28
70.2°, rel. 28
56.0°, rel. 16

```
Zn11In3
1.0
-2.131 4.978 6.008
2.131 -4.978 6.008
2.131 4.978 -6.008
Zn In
11 3
Cartesian
0.000 0.000 0.000
2.131 -2.771 4.436
2.131 1.743 0.000
2.131 3.676 -1.871
0.000 2.207 1.572
0.000 1.302 4.137
2.131 3.676 1.871
2.131 2.771 4.436
0.000 1.302 7.880
0.000 3.235 6.008
0.000 7.749 1.572
2.131 0.000 2.483
0.000 4.978 0.000
0.000 4.978 3.525
```



For Sr2Li2Pd3, a PBE-relaxed structure gives the simulated X-ray powder pattern in this record (Cu Kα X-rays).
Peak positions follow from Bragg's law for the DFT cell and can differ from measured ones.

Largest 10 diffraction maxima, most intense first, 15° ≤ 2θ ≤ 90°:
28.6°, rel. 100
33.0°, rel. 62
35.2°, rel. 61
35.0°, rel. 53
37.0°, rel. 47
39.3°, rel. 39
50.5°, rel. 37
47.3°, rel. 22
61.5°, rel. 19
21.7°, rel. 19

```
Sr2Li2Pd3
1.0
4.632 -2.427 0.000
4.632 2.427 0.000
-4.534 0.000 6.755
Sr Li Pd
2 2 3
Cartesian
0.809 0.000 2.182
3.921 0.000 4.574
-2.389 0.000 5.934
7.119 0.000 0.821
-2.267 0.000 3.378
3.833 0.000 1.126
0.898 0.000 5.630
```



For ZrPb3F10, a PBE-relaxed structure gives the simulated X-ray powder pattern in this record (Cu Kα X-rays).
Peak positions follow from Bragg's law for the DFT cell and can differ from measured ones.

Largest 10 diffraction maxima, most intense first, 15° ≤ 2θ ≤ 90°:
26.1°, rel. 100
26.6°, rel. 23
50.0°, rel. 20
29.3°, rel. 19
40.6°, rel. 19
39.5°, rel. 16
27.5°, rel. 16
49.9°, rel. 13
43.2°, rel. 13
45.1°, rel. 12

```
ZrPb3F10
1.0
5.342 -6.482 0.000
5.342 6.482 0.000
0.000 0.000 6.101
Zr Pb F
2 6 20
Cartesian
5.342 4.103 4.576
5.342 -4.103 1.525
2.297 1.363 4.576
2.297 -1.363 1.525
5.342 1.441 1.525
5.342 -1.441 4.576
8.386 1.363 4.576
8.386 -1.363 1.525
1.768 1.168 1.525
5.342 5.136 0.282
5.342 5.136 2.768
4.050 2.905 3.292
4.050 2.905 5.859
1.768 -1.168 4.576
3.889 0.000 0.000
3.889 0.000 3.050
6.634 2.905 3.292
6.634 2.905 5.859
4.050 -2.905 0.242
4.050 -2.905 2.808
6.795 0.000 0.000
6.795 0.000 3.050
8.916 1.168 1.525
6.634 -2.905 0.242
6.634 -2.905 2.808
5.342 -5.136 3.333
5.342 -5.136 5.819
8.916 -1.168 4.576
```